Structure and theoretical XRD peak list of Li2Fe3Co3O12 (a structure optimized by DFT (PBE+U); CuKα).
Peak positions follow from Bragg's law for the DFT cell and can differ from measured ones.

Top 12 peaks for 15° ≤ 2θ ≤ 90°, most intense first:
17.87 deg, d = 4.964 Å, I 100, (0 1 -1); 43.30 deg, d = 2.090 Å, I 32, (2 -2 0); 43.15 deg, d = 2.097 Å, I 16, (0 0 3); 36.16 deg, d = 2.484 Å, I 14, (2 1 0); 35.88 deg, d = 2.503 Å, I 11, (-2 1 1); 36.04 deg, d = 2.492 Å, I 10, (0 1 2); 47.34 deg, d = 1.920 Å, I 6, (2 -1 2); 80.57 deg, d = 1.192 Å, I 6, (4 0 2); 37.72 deg, d = 2.385 Å, I 5, (2 0 1); 56.35 deg, d = 1.633 Å, I 5, (0 1 -4); 56.57 deg, d = 1.627 Å, I 5, (2 3 -2); 56.67 deg, d = 1.624 Å, I 5, (2 -3 1)

Structure:
a = 5.8501 Å, b = 5.9775 Å, c = 6.7109 Å
α = 105.19°, β = 103.28°, γ = 90.04°
Positions (direct):
Li (0.1862, 0.1819, 0.1813)
Li (0.8138, 0.8181, 0.8187)
Fe (0.0000, 0.0000, 0.5000)
Fe (0.3330, 0.3460, 0.8255)
Fe (0.6670, 0.6540, 0.1745)
Co (0.1660, 0.6664, 0.1693)
Co (0.5000, 0.0000, 0.5000)
Co (0.8340, 0.3336, 0.8307)
O (0.0680, 0.1124, 0.8157)
O (0.0720, 0.5679, 0.8629)
O (0.2553, 0.7729, 0.4702)
O (0.2557, 0.2096, 0.5073)
O (0.3933, 0.4424, 0.1456)
O (0.4088, 0.8935, 0.1986)
O (0.5912, 0.1065, 0.8014)
O (0.6067, 0.5576, 0.8544)
O (0.7443, 0.7904, 0.4927)
O (0.7447, 0.2271, 0.5298)
O (0.9280, 0.4321, 0.1371)
O (0.9320, 0.8876, 0.1843)